Structure and calculated powder XRD pattern of Li3ZnNi4 (a GGA-PBE-relaxed structure; λ = 1.5418 Å (Cu Kα)).
Neutral-atom scattering factors, no anomalous dispersion.

Structure:
```
data_Li3ZnNi4
_chemical_formula_sum 'Li6 Zn2 Ni8'
_space_group_name_H-M_alt 'P m n a'
_space_group_IT_number 53
_cell_length_a 5.011
_cell_length_b 5.094
_cell_length_c 7.233
_cell_angle_alpha 90.00
_cell_angle_beta 90.00
_cell_angle_gamma 90.00
loop_
_space_group_symop_operation_xyz
'x,y,z'
'-x,-y,-z'
'-x+1/2,-y,z+1/2'
'x+1/2,y,-z+1/2'
'x,-y,-z'
'-x,y,z'
'-x+1/2,y,-z+1/2'
'x+1/2,-y,z+1/2'
loop_
_atom_site_label
_atom_site_type_symbol
_atom_site_fract_x
_atom_site_fract_y
_atom_site_fract_z
Li1 Li 0.000 0.000 0.000
Li2 Li 0.250 0.242 0.250
Zn1 Zn 0.000 0.500 0.000
Ni1 Ni 0.000 0.000 0.500
Ni2 Ni 0.000 0.500 0.500
Ni3 Ni 0.250 0.258 0.750
```

The 10 most intense peaks (2θ = 15–90°), in order of rising 2θ:
Position (°2θ), I (rel.), h k l
17.4, 23, 0 1 0
21.3, 80, 0 1 1
21.6, 16, 1 0 1
27.9, 25, 1 1 1
42.1, 26, 2 1 1
43.5, 100, 0 2 2
44.0, 97, 2 0 2
50.5, 32, 0 0 4
51.1, 60, 2 2 0
74.7, 36, 2 2 4